Entry 1:
Mg7Si4: theoretical powder X-ray diffraction pattern (Cu Kα), based on a cell relaxed with PBE.

Top 8 peaks for 10 to 90 degrees two-theta, sorted by position:
- 2θ 12.55, d = 7.053 Å, I 59
- 2θ 31.99, d = 2.798 Å, I 68
- 2θ 33.41, d = 2.682 Å, I 94
- 2θ 35.99, d = 2.496 Å, I 100
- 2θ 37.79, d = 2.381 Å, I 77
- 2θ 37.96, d = 2.371 Å, I 59
- 2θ 38.41, d = 2.344 Å, I 57
- 2θ 50.11, d = 1.820 Å, I 81

Structural model:
```
data_Mg7Si4
_chemical_formula_sum 'Mg14 Si8'
_space_group_name_H-M_alt 'P 1 m 1'
_space_group_IT_number 6
_cell_length_a 8.905
_cell_length_b 3.641
_cell_length_c 14.211
_cell_angle_alpha 90.00
_cell_angle_beta 96.97
_cell_angle_gamma 90.00
loop_
_space_group_symop_operation_xyz
'x,y,z'
'x,-y,z'
loop_
_atom_site_label
_atom_site_fract_x
_atom_site_fract_y
_atom_site_fract_z
_atom_site_occupancy
Mg1 0.000 0.000 0.000 1
Mg2 0.018 0.000 0.783 1
Mg3 0.051 0.500 0.597 1
Mg4 0.182 0.000 0.458 1
Mg5 0.274 0.500 0.955 1
Mg6 0.315 0.500 0.318 1
Mg7 0.350 0.000 0.144 1
Mg8 0.464 0.000 0.832 1
Mg9 0.487 0.500 0.519 1
Mg10 0.595 0.000 0.333 1
Mg11 0.605 0.000 0.027 1
Mg12 0.759 0.500 0.876 1
Mg13 0.791 0.000 0.525 1
Mg14 0.902 0.500 0.363 1
Si1 0.080 0.000 0.258 1
Si2 0.113 0.500 0.147 1
Si3 0.259 0.500 0.747 1
Si4 0.327 0.000 0.646 1
Si5 0.608 0.000 0.675 1
Si6 0.781 0.500 0.678 1
Si7 0.797 0.000 0.204 1
Si8 0.824 0.500 0.097 1
```

***

Entry 2:
Ge2S3I2: theoretical powder X-ray diffraction pattern (Cu Kα), based on a cell relaxed with PBE.

Top 8 peaks for 10 to 90 degrees two-theta, sorted by position:
- 2θ 12.58, d = 7.036 Å, I 39
- 2θ 17.74, d = 5.000 Å, I 52
- 2θ 17.89, d = 4.958 Å, I 88
- 2θ 20.01, d = 4.437 Å, I 66
- 2θ 25.40, d = 3.506 Å, I 100
- 2θ 29.82, d = 2.996 Å, I 34
- 2θ 33.85, d = 2.648 Å, I 42
- 2θ 43.54, d = 2.079 Å, I 31

Structural model:
```
data_Ge2S3I2
_chemical_formula_sum 'Ge8 S12 I8'
_space_group_name_H-M_alt 'P -3'
_space_group_IT_number 147
_cell_length_a 11.4338
_cell_length_b 11.4338
_cell_length_c 9.9993
_cell_angle_alpha 90.00
_cell_angle_beta 90.00
_cell_angle_gamma 120.00
loop_
_space_group_symop_operation_xyz
'x,y,z'
'-x,-y,-z'
'-y,x-y,z'
'y,-x+y,-z'
'-x+y,-x,z'
'x-y,x,-z'
loop_
_atom_site_label
_atom_site_fract_x
_atom_site_fract_y
_atom_site_fract_z
_atom_site_occupancy
Ge1 0.1974 0.7281 0.2263 1
Ge2 0.3333 0.6667 0.9427 1
S1 0.1199 0.5196 0.3103 1
S2 0.1864 0.7334 0.0027 1
I1 0.0330 0.7994 0.3082 1
I2 0.3333 0.6667 0.6903 1
```

***

Entry 3:
Sm2HoTl: theoretical powder X-ray diffraction pattern (Cu Kα), based on a cell relaxed with PBE.

Top 8 peaks for 10 to 90 degrees two-theta, sorted by position:
- 2θ 31.63, d = 2.828 Å, I 100
- 2θ 31.97, d = 2.799 Å, I 40
- 2θ 32.28, d = 2.774 Å, I 77
- 2θ 33.13, d = 2.704 Å, I 50
- 2θ 44.93, d = 2.018 Å, I 17
- 2θ 46.71, d = 1.945 Å, I 28
- 2θ 58.25, d = 1.584 Å, I 18
- 2θ 66.04, d = 1.415 Å, I 15

Structural model:
```
data_Sm2HoTl
_chemical_formula_sum 'Sm4 Ho2 Tl2'
_space_group_name_H-M_alt 'P 1 21/m 1'
_space_group_IT_number 11
_cell_length_a 6.743
_cell_length_b 5.407
_cell_length_c 6.811
_cell_angle_alpha 90.00
_cell_angle_beta 100.19
_cell_angle_gamma 90.00
loop_
_space_group_symop_operation_xyz
'x,y,z'
'-x,-y,-z'
'-x,y+1/2,-z'
'x,-y+1/2,z'
loop_
_atom_site_label
_atom_site_fract_x
_atom_site_fract_y
_atom_site_fract_z
_atom_site_occupancy
Sm1 0.088 0.250 0.407 1
Sm2 0.163 0.250 0.928 1
Ho1 0.369 0.750 0.268 1
Tl1 0.389 0.750 0.753 1
```

***

Entry 4:
La5In2Ga2: theoretical powder X-ray diffraction pattern (Cu Kα), based on a cell relaxed with PBE.

Top 8 peaks for 10 to 90 degrees two-theta, sorted by position:
- 2θ 29.20, d = 3.058 Å, I 58
- 2θ 30.30, d = 2.949 Å, I 92
- 2θ 30.50, d = 2.931 Å, I 100
- 2θ 31.02, d = 2.883 Å, I 64
- 2θ 32.30, d = 2.772 Å, I 47
- 2θ 35.04, d = 2.561 Å, I 29
- 2θ 35.36, d = 2.538 Å, I 28
- 2θ 42.59, d = 2.123 Å, I 22

Structural model:
```
data_La5In2Ga2
_chemical_formula_sum 'La20 In8 Ga8'
_space_group_name_H-M_alt 'C m c e'
_space_group_IT_number 64
_space_group_name_Hall '-C 2ac 2'
_cell_length_a 16.981
_cell_length_b 8.201
_cell_length_c 8.109
_cell_angle_alpha 90.00
_cell_angle_beta 90.00
_cell_angle_gamma 90.00
loop_
_atom_site_label
_atom_site_fract_x
_atom_site_fract_y
_atom_site_fract_z
_atom_site_occupancy
La1 0.000 0.000 0.000 1
La2 0.132 0.194 0.318 1
In1 0.222 0.000 0.000 1
Ga1 0.000 0.110 0.614 1
```